Starting from a GGA+U-relaxed structure, the powder XRD pattern of Li3Si2Ni2O8 was computed for Cu Kα, 1.54184 Å.
Intensities are scaled so that the largest is 100.

Top 10 peaks for 5 to 70 degrees two-theta, low angle first:
index, Position (°2θ), intensity
1 0 -2, 21.26, 52.3
1 0 2, 21.87, 39.9
1 1 0, 22.50, 100.0
2 0 0, 27.81, 13.9
2 0 -2, 32.11, 16.2
2 0 2, 32.93, 24.3
0 0 4, 33.31, 32.3
2 1 -1, 34.03, 14.0
0 2 0, 35.78, 48.5
4 0 0, 57.51, 17.6

Cell and atoms:
Lattice parameters (Å, degrees): 6.4113 5.0209 10.7640 90.00 91.61 90.00
Space group Pc (No. 7)
Inequivalent atoms, fractional coordinates:
Li (0.0000, 0.0492, 0.0000)
Li (0.2491, 0.0557, 0.7681)
Li (0.7572, 0.4430, 0.5832)
Si (0.5041, 0.0593, 0.0138)
Si (0.9985, 0.4331, 0.3316)
Ni (0.2537, 0.4494, 0.5882)
Ni (0.7289, 0.0558, 0.7637)
O (0.0239, 0.4621, 0.9806)
O (0.2022, 0.4546, 0.7555)
O (0.2935, 0.0684, 0.5805)
O (0.4915, 0.3854, 0.0425)
O (0.4940, 0.0034, 0.3670)
O (0.7272, 0.0430, 0.5769)
O (0.7913, 0.4415, 0.7657)
O (0.9939, 0.1061, 0.3306)